Entry 1:
Calculated powder X-ray diffraction pattern
Compound: Sr3In2Pb4
Radiation: Cu Ka
Structure: a DFT-relaxed cell (PBE, Alexandria)
Peak positions follow from Bragg's law for the DFT cell and can differ from measured ones.

Top 6 peaks for 2θ = 10–90°, in order of falling intensity:
2theta, d [Å], I_rel
34.11, 2.628, 100
28.34, 3.149, 88
27.16, 3.283, 70
28.54, 3.128, 56
36.64, 2.453, 53
19.99, 4.443, 36

Atomic structure:
a b c (Å): 7.0814 7.0814 10.1192
angles (deg): 110.56 110.56 40.53
Fractional coordinates of all 9 atoms:
Sr1 0.0000 0.0000 0.0000
Sr2 0.3697 0.3697 0.3129
Sr3 0.6303 0.6303 0.6871
In1 0.3031 0.3031 0.6475
In2 0.6969 0.6969 0.3525
Pb1 0.0731 0.0731 0.3849
Pb2 0.3062 0.3062 0.9553
Pb3 0.6938 0.6938 0.0447
Pb4 0.9269 0.9269 0.6151



Entry 2:
Calculated powder X-ray diffraction pattern
Compound: Sr2InPb4
Radiation: Cu Ka
Structure: a DFT-relaxed cell (PBE, Alexandria)
Peak positions follow from Bragg's law for the DFT cell and can differ from measured ones.

Top 6 peaks for 2θ = 10–90°, in order of falling intensity:
2theta, d [Å], I_rel
31.33, 2.855, 100
31.49, 2.841, 58
16.17, 5.482, 51
41.71, 2.165, 46
32.67, 2.741, 45
26.84, 3.322, 36

Atomic structure:
a b c (Å): 8.6131 7.4379 6.4219
angles (deg): 76.45 57.09 46.46
Fractional coordinates of all 7 atoms:
Sr1 0.1466 0.1466 0.8534
Sr2 0.8534 0.8534 0.1466
In1 0.5000 0.5000 0.5000
Pb1 0.0000 0.0000 0.5000
Pb2 0.2500 0.2500 0.2500
Pb3 0.5000 0.5000 0.0000
Pb4 0.7500 0.7500 0.7500



Entry 3:
Calculated powder X-ray diffraction pattern
Compound: Sr2InPb3
Radiation: Cu Ka
Structure: a DFT-relaxed cell (PBE, Alexandria)
Peak positions follow from Bragg's law for the DFT cell and can differ from measured ones.

Top 6 peaks for 2θ = 10–90°, in order of falling intensity:
2theta, d [Å], I_rel
32.69, 2.739, 100
30.03, 2.976, 91
31.82, 2.812, 54
30.34, 2.946, 46
23.54, 3.779, 42
40.68, 2.218, 41

Atomic structure:
a b c (Å): 3.7788 5.6247 9.4093
angles (deg): 90.00 90.00 90.00
Fractional coordinates of all 6 atoms:
Sr1 0.0000 0.0000 0.0000
Sr2 0.0000 0.5000 0.5004
In1 0.5000 0.0000 0.3285
Pb1 0.5000 0.0000 0.6588
Pb2 0.5000 0.5000 0.1757
Pb3 0.5000 0.5000 0.8342



Entry 4:
Calculated powder X-ray diffraction pattern
Compound: Sr3Tl2InPb3
Radiation: Cu Ka
Structure: a DFT-relaxed cell (PBE, Alexandria)
Peak positions follow from Bragg's law for the DFT cell and can differ from measured ones.

Top 6 peaks for 2θ = 10–90°, in order of falling intensity:
2theta, d [Å], I_rel
29.34, 3.044, 100
33.65, 2.663, 86
31.45, 2.844, 67
37.13, 2.421, 62
29.58, 3.020, 51
54.99, 1.670, 47

Atomic structure:
a b c (Å): 9.2260 9.2260 4.0507
angles (deg): 90.00 90.00 120.00
Fractional coordinates of all 9 atoms:
Sr1 0.0000 0.6183 0.0000
Sr2 0.3817 0.3817 0.0000
Sr3 0.6183 0.0000 0.0000
Tl1 0.3333 0.6667 0.5000
Tl2 0.6667 0.3333 0.5000
In1 0.0000 0.0000 0.0000
Pb1 0.0000 0.2706 0.5000
Pb2 0.2706 0.0000 0.5000
Pb3 0.7294 0.7294 0.5000



Entry 5:
Calculated powder X-ray diffraction pattern
Compound: TbYInPb
Radiation: Cu Ka
Structure: a DFT-relaxed cell (PBE, Alexandria)
Peak positions follow from Bragg's law for the DFT cell and can differ from measured ones.

Top 6 peaks for 2θ = 10–90°, in order of falling intensity:
2theta, d [Å], I_rel
32.44, 2.760, 100
35.97, 2.496, 38
62.45, 1.487, 30
55.48, 1.656, 22
40.77, 2.213, 13
51.79, 1.765, 13

Atomic structure:
a b c (Å): 5.6621 5.6621 5.6621
angles (deg): 127.68 127.68 77.15
Fractional coordinates of all 4 atoms:
Tb1 0.0000 0.0000 0.0000
Y1 0.5000 0.5000 0.0000
In1 0.7500 0.2500 0.5000
Pb1 0.2500 0.7500 0.5000



Entry 6:
Calculated powder X-ray diffraction pattern
Compound: In6Te10Pb
Radiation: Cu Ka
Structure: a DFT-relaxed cell (PBE, Alexandria)
Peak positions follow from Bragg's law for the DFT cell and can differ from measured ones.

Top 6 peaks for 2θ = 10–90°, in order of falling intensity:
2theta, d [Å], I_rel
27.13, 3.287, 100
24.27, 3.667, 91
24.61, 3.618, 58
44.92, 2.018, 33
11.46, 7.721, 32
30.35, 2.945, 31

Atomic structure:
a b c (Å): 10.9947 10.9947 10.8630
angles (deg): 90.05 90.05 88.41
Fractional coordinates of all 34 atoms:
In1 0.0415 0.0415 0.3317
In2 0.1218 0.3871 0.2539
In3 0.2089 0.3736 0.8779
In4 0.3565 0.0871 0.1596
In5 0.4398 0.4717 0.1725
In6 0.5283 0.5602 0.8275
In7 0.6129 0.8782 0.7461
In8 0.6264 0.7911 0.1221
In9 0.6613 0.0624 0.4241
In10 0.9129 0.6435 0.8404
In11 0.9376 0.3387 0.5759
In12 0.9585 0.9585 0.6683
Te1 0.0095 0.5402 0.4322
Te2 0.1086 0.7644 0.7412
Te3 0.1119 0.1441 0.5689
Te4 0.2109 0.5531 0.0697
Te5 0.2356 0.8914 0.2588
Te6 0.2883 0.1286 0.9097
Te7 0.3526 0.2865 0.3333
Te8 0.3530 0.4501 0.6763
Te9 0.4469 0.7891 0.9303
Te10 0.4598 0.9905 0.5678
Te11 0.5499 0.6470 0.3237
Te12 0.6145 0.3855 0.0000
Te13 0.6178 0.0507 0.1629
Te14 0.6926 0.3074 0.5000
Te15 0.7135 0.6474 0.6667
Te16 0.7818 0.0397 0.8405
Te17 0.8559 0.8881 0.4311
Te18 0.8714 0.7117 0.0903
Te19 0.9493 0.3822 0.8371
Te20 0.9603 0.2182 0.1595
Pb1 0.5228 0.2130 0.7507
Pb2 0.7870 0.4772 0.2493



Entry 7:
Calculated powder X-ray diffraction pattern
Compound: In2Te4Pb
Radiation: Cu Ka
Structure: a DFT-relaxed cell (PBE, Alexandria)
Peak positions follow from Bragg's law for the DFT cell and can differ from measured ones.

Top 6 peaks for 2θ = 10–90°, in order of falling intensity:
2theta, d [Å], I_rel
32.78, 2.732, 100
27.03, 3.299, 30
26.90, 3.314, 29
14.36, 6.166, 28
30.33, 2.947, 24
30.55, 2.926, 22

Atomic structure:
a b c (Å): 6.8854 6.8854 11.7897
angles (deg): 90.00 90.00 116.42
Fractional coordinates of all 14 atoms:
In1 0.2283 0.7656 0.0000
In2 0.2344 0.7717 0.5000
In3 0.7656 0.2283 0.5000
In4 0.7717 0.2344 0.0000
Te1 0.0000 0.5000 0.1873
Te2 0.0000 0.5000 0.8127
Te3 0.2144 0.3430 0.5000
Te4 0.3430 0.2144 0.0000
Te5 0.5000 0.0000 0.3127
Te6 0.5000 0.0000 0.6873
Te7 0.6570 0.7856 0.0000
Te8 0.7856 0.6570 0.5000
Pb1 0.5000 0.5000 0.2500
Pb2 0.5000 0.5000 0.7500



Entry 8:
Calculated powder X-ray diffraction pattern
Compound: Y2InTe6Pb3
Radiation: Cu Ka
Structure: a DFT-relaxed cell (PBE, Alexandria)
Peak positions follow from Bragg's law for the DFT cell and can differ from measured ones.

Top 6 peaks for 2θ = 10–90°, in order of falling intensity:
2theta, d [Å], I_rel
27.51, 3.243, 100
39.46, 2.284, 74
27.74, 3.216, 48
49.67, 1.836, 20
38.21, 2.355, 19
47.87, 1.900, 19

Atomic structure:
a b c (Å): 10.1792 10.1792 9.4205
angles (deg): 103.34 103.34 25.37
Fractional coordinates of all 12 atoms:
Y1 0.1681 0.1681 0.3473
Y2 0.8319 0.8319 0.6527
In1 0.5000 0.5000 0.0000
Te1 0.0094 0.0094 0.2578
Te2 0.3268 0.3268 0.8862
Te3 0.3296 0.3296 0.4178
Te4 0.6704 0.6704 0.5822
Te5 0.6732 0.6732 0.1138
Te6 0.9906 0.9906 0.7422
Pb1 0.1592 0.1592 0.8473
Pb2 0.5000 0.5000 0.5000
Pb3 0.8408 0.8408 0.1527